Simulated powder XRD pattern of EuNiC for a wavelength of 1.5418 Å, from a DFT-relaxed cell (PBE, Alexandria).

The 10 most intense peaks (15° ≤ 2θ ≤ 90°), by angle:
21.4 deg, d = 4.155 Å, rel. 9, (0 0 1)
29.6 deg, d = 3.020 Å, rel. 35, (1 0 0)
36.8 deg, d = 2.443 Å, rel. 100, (1 0 1)
43.6 deg, d = 2.077 Å, rel. 14, (0 0 2)
52.5 deg, d = 1.744 Å, rel. 23, (1 1 0)
53.5 deg, d = 1.712 Å, rel. 14, (1 0 2)
65.8 deg, d = 1.419 Å, rel. 18, (2 0 1)
70.5 deg, d = 1.335 Å, rel. 19, (1 1 2)
75.5 deg, d = 1.259 Å, rel. 12, (1 0 3)
88.9 deg, d = 1.101 Å, rel. 16, (2 1 1)

Cell and atoms:
```
EuNiC
1.0
3.4871 0.0000 0.0000
-1.7435 3.0199 0.0000
0.0000 0.0000 4.1547
Eu Ni C
1 1 1
Cartesian
0.0000 0.0000 0.0000
1.7435 1.0066 2.0773
0.0000 2.0133 2.0773
```